1.
Na2Cd6AgSn: simulated XRD peak list (Cu Ka), based on a DFT-relaxed cell (PBE, Alexandria).

Largest 6 diffraction maxima, by angle, 10° ≤ 2θ ≤ 90°:
15.0°, rel. 57; 18.1°, rel. 49; 33.0°, rel. 100; 36.7°, rel. 29; 39.0°, rel. 34; 42.8°, rel. 50

Structure:
```
Na2Cd6AgSn
1.0
3.5512 2.0503 13.5505
-3.5512 2.0503 13.5505
0.0000 -4.1006 13.5505
Na Cd Ag Sn
4 12 2 2
Cartesian
0.0000 0.0000 5.0260
0.0000 0.0000 12.8556
0.0000 0.0000 27.7960
0.0000 0.0000 35.6256
-2.1175 -1.2225 19.0473
0.0000 -2.2858 15.6051
-1.9795 1.1429 15.6051
-1.9795 -1.1429 25.0465
0.0000 -2.4451 21.6043
-2.1175 1.2225 21.6043
2.1175 -1.2225 19.0472
0.0000 2.4451 19.0472
1.9795 1.1429 15.6051
1.9795 -1.1429 25.0465
0.0000 2.2858 25.0465
2.1175 1.2225 21.6043
0.0000 0.0000 0.0000
0.0000 0.0000 20.3258
0.0000 0.0000 17.2770
0.0000 0.0000 23.3745
```

---

2.
Na2Zn2CdAg5: simulated XRD peak list (Cu Ka), based on a DFT-relaxed cell (PBE, Alexandria).

Largest 6 diffraction maxima, by angle, 10° ≤ 2θ ≤ 90°:
19.8°, rel. 34; 34.0°, rel. 21; 36.3°, rel. 100; 37.0°, rel. 28; 39.6°, rel. 44; 45.8°, rel. 23

Structure:
```
Na2Zn2CdAg5
1.0
10.0141 0.0000 0.0000
0.0000 10.0141 0.0000
0.0000 0.0000 3.9591
Na Zn Cd Ag
4 4 2 10
Cartesian
1.7589 3.2482 0.0000
3.2482 8.2552 0.0000
6.7659 1.7589 0.0000
8.2552 6.7659 0.0000
1.2180 6.2250 0.0000
3.7891 1.2180 0.0000
6.2250 8.7961 0.0000
8.7961 3.7891 0.0000
0.0000 0.0000 0.0000
5.0070 5.0070 0.0000
0.0000 5.0070 1.9796
0.6732 7.9705 1.9796
2.0436 0.6732 1.9796
2.9635 5.6803 1.9796
4.3338 2.9635 1.9796
5.0070 0.0000 1.9796
5.6803 7.0506 1.9796
7.0506 4.3338 1.9796
7.9705 9.3408 1.9796
9.3408 2.0436 1.9796
```

---

3.
NdCdAg3: simulated XRD peak list (Cu Ka), based on a DFT-relaxed cell (PBE, Alexandria).

Largest 6 diffraction maxima, by angle, 10° ≤ 2θ ≤ 90°:
33.4°, rel. 47; 34.1°, rel. 31; 34.5°, rel. 53; 34.6°, rel. 59; 36.7°, rel. 60; 37.2°, rel. 100

Structure:
```
NdCdAg3
1.0
5.7923 0.0000 0.0000
0.0000 5.8928 0.0000
-0.2886 0.0000 6.4936
Nd Cd Ag
2 2 6
Cartesian
0.8710 1.4732 1.0614
4.6326 4.4196 5.4322
0.3328 4.4196 2.4303
5.1708 1.4732 4.0633
1.8287 0.0210 4.3539
1.8287 2.9254 4.3539
2.0655 4.4196 0.2670
3.4382 1.4732 6.2267
3.6750 2.9674 2.1397
3.6750 5.8718 2.1397
```